Structure and calculated powder diffractogram of Li2Mn3B3O9 (a DFT-relaxed cell (PBE+U, the Materials Project); Cu Kα).

Most intense lines, 2θ = 10–90°, low angle first:
(hkl)	2θ (°)	d_spacing	Rel. int.
0 1 1	21.47	4.138	99
0 2 -1	21.51	4.131	92
0 1 -2	21.80	4.076	100
2 0 -1	28.32	3.151	23
2 -2 0	35.22	2.548	28
-2 1 2	35.56	2.524	28
2 -1 1	35.67	2.517	34
2 1 0	36.08	2.490	33
2 2 -2	36.42	2.467	57
0 3 0	37.49	2.399	25
0 0 3	38.05	2.365	51
4 0 -2	58.59	1.575	24

Atomic structure:
a b c (Å): 6.3057 8.2673 8.6847
angles (deg): 116.71 110.15 91.97
Space group P1 (No. 1)
One atom of each set of equivalent atoms:
Li1 0.0000 0.0000 0.0000
Li2 0.1771 0.7382 0.3311
Li3 0.4748 0.9982 0.0001
Li4 0.7655 0.3214 0.5889
Mn1 0.0652 0.0297 0.6387
Mn2 0.2023 0.6259 0.9367
Mn3 0.4120 0.4000 0.3027
Mn4 0.5858 0.0297 0.6797
Mn5 0.7227 0.6695 0.9954
Mn6 0.9172 0.3648 0.3155
B1 0.3204 0.6890 0.6519
B2 0.3868 0.0198 0.2979
B3 0.4642 0.3457 0.9756
B4 0.8267 0.6887 0.6503
B5 0.8850 0.0120 0.2955
B6 0.9889 0.3518 0.9765
O1 0.0285 0.5473 0.0569
O2 0.0548 0.2793 0.0977
O3 0.2568 0.5672 0.4590
O4 0.2803 0.9185 0.1005
O5 0.3358 0.8752 0.7119
O6 0.3655 0.6240 0.7796
O7 0.4004 0.2301 0.7891
O8 0.4314 0.9271 0.3990
O9 0.4476 0.2125 0.3902
O10 0.4680 0.5359 0.0516
O11 0.5309 0.2773 0.1038
O12 0.7441 0.5581 0.4614
O13 0.7850 0.9572 0.1030
O14 0.8525 0.8770 0.7174
O15 0.8840 0.6171 0.7761
O16 0.8926 0.2418 0.7841
O17 0.9330 0.1950 0.4314
O18 0.9337 0.8754 0.3448


Structure and calculated powder diffractogram of Li5Mn6B6O18 (a DFT-relaxed cell (PBE+U, the Materials Project); Cu Kα).

Most intense lines, 2θ = 10–90°, low angle first:
(hkl)	2θ (°)	d_spacing	Rel. int.
2 0 1	21.34	4.164	63
4 0 -1	21.53	4.127	65
2 0 -2	21.60	4.115	70
0 2 1	30.70	2.912	20
2 2 1	35.48	2.530	45
2 2 -2	35.62	2.520	100
0 0 3	37.60	2.392	20
6 0 -3	37.94	2.371	25
0 2 3	47.49	1.914	33
6 2 -3	47.82	1.902	20
4 2 -4	52.98	1.728	19
0 4 0	57.90	1.593	21

Atomic structure:
a b c (Å): 16.5085 6.3707 8.2306
angles (deg): 90.00 119.31 90.00
Space group Cm (No. 8)
One atom of each set of equivalent atoms:
Li1 0.0000 0.0000 0.0000
Li2 0.9998 0.5000 0.0013
Li3 0.1572 0.0000 0.5781
Li4 0.3684 0.0000 0.3161
Li5 0.3681 0.5000 0.3204
Mn1 0.0198 0.2532 0.6696
Mn2 0.1905 0.2522 0.3007
Mn3 0.3187 0.2519 0.9323
B1 0.0055 0.2454 0.2930
B2 0.1750 0.5000 0.9758
B3 0.1771 0.0000 0.9692
B4 0.3435 0.0000 0.6333
B5 0.3498 0.5000 0.6410
O1 0.1001 0.2305 0.4015
O2 0.1184 0.5000 0.7856
O3 0.1229 0.0000 0.7758
O4 0.1371 0.5000 0.0948
O5 0.1375 0.0000 0.0832
O6 0.2718 0.5000 0.0505
O7 0.2743 0.0000 0.0467
O8 0.2892 0.0000 0.4404
O9 0.2911 0.5000 0.4500
O10 0.2991 0.0000 0.7406
O11 0.3156 0.5000 0.7649
O12 0.4393 0.0000 0.7177
O13 0.4456 0.5000 0.7136
O14 0.4492 0.2499 0.3765
O15 0.4638 0.2481 0.0984


Structure and calculated powder diffractogram of Li2Mn3B3O9 (a DFT-relaxed cell (PBE+U, the Materials Project); Cu Kα).

Most intense lines, 2θ = 10–90°, low angle first:
(hkl)	2θ (°)	d_spacing	Rel. int.
1 0 1	20.04	4.432	100
-1 1 1	20.83	4.265	23
1 0 -2	21.98	4.045	46
0 1 2	22.60	3.934	64
1 0 4	33.81	2.651	31
-1 1 4	34.02	2.635	25
0 2 -2	34.27	2.617	77
2 -1 0	34.41	2.606	21
2 0 -1	37.45	2.402	23
-2 1 3	39.88	2.261	22
0 0 6	40.67	2.219	34
2 0 5	53.02	1.727	30

Atomic structure:
a b c (Å): 5.2257 5.8668 13.4365
angles (deg): 96.58 91.29 112.39
Space group P-1 (No. 2)
One atom of each set of equivalent atoms:
Li1 0.0250 0.2234 0.0391
Li2 0.3148 0.4692 0.6278
Mn1 0.1359 0.4897 0.2439
Mn2 0.1766 0.1553 0.4170
Mn3 0.4873 0.1628 0.9088
B1 0.0743 0.9521 0.1905
B2 0.2563 0.7087 0.4658
B3 0.4079 0.6174 0.8615
O1 0.0305 0.7799 0.4511
O2 0.0600 0.1364 0.2629
O3 0.0632 0.1007 0.9029
O4 0.2551 0.8356 0.2127
O5 0.2585 0.5392 0.7706
O6 0.3128 0.5618 0.3854
O7 0.3449 0.7648 0.9382
O8 0.3635 0.4481 0.1209
O9 0.4031 0.7615 0.5557